[1]
Simulated PXRD pattern
Compound: Bi2I2O
Radiation: Cu Ka
Structure: DFT lattice parameters and positions (GGA-PBE)
Peak positions follow from Bragg's law for the DFT cell and can differ from measured ones.

Main lines, low angle first (10 to 90 degrees two-theta):
2θ (°)	d (Å)	Rel. int.	h k l
21.82	4.073	46	0 0 4
26.34	3.384	100	1 0 0
34.46	2.603	59	1 0 4
37.59	2.393	39	1 1 0
38.35	2.347	21	1 0 5
43.88	2.063	31	1 1 4
54.21	1.692	14	2 0 0
59.13	1.563	13	2 0 4
61.25	1.513	19	2 1 0
65.84	1.419	19	2 1 4

Structure:
abc: 3.3839 3.3839 16.2934
angles: 90.00 90.00 90.00
Space group P4/mmm (No. 123)
Symmetry-distinct sites (fractional):
Bi1 0.0000 0.0000 0.1285 [2 per cell]
I1 0.0000 0.0000 0.3339 [2 per cell]
O1 0.0000 0.0000 0.0000 [1 per cell]


[2]
Simulated PXRD pattern
Compound: Bi2Se3O9
Radiation: Cu Ka
Structure: DFT lattice parameters and positions (GGA-PBE)
Peak positions follow from Bragg's law for the DFT cell and can differ from measured ones.

Main lines, low angle first (10 to 90 degrees two-theta):
2θ (°)	d (Å)	Rel. int.	h k l
12.80	6.916	42	0 0 2
14.29	6.199	24	2 0 -2
25.00	3.562	24	3 0 -4
25.54	3.488	100	1 1 2
25.97	3.431	94	4 0 -2
26.85	3.320	75	0 1 3
31.30	2.857	38	3 1 -4
38.32	2.349	44	1 2 -1
41.57	2.173	26	5 1 0
42.81	2.113	24	3 2 -1

Structure:
abc: 13.7275 4.7852 15.5713
angles: 90.00 117.34 90.00
Space group P2_1/c (No. 14)
Symmetry-distinct sites (fractional):
Bi1 0.1520 0.1325 0.3446 [4 per cell]
Bi2 0.3324 0.1354 0.6907 [4 per cell]
Se1 0.0691 0.7108 0.1239 [4 per cell]
Se2 0.3261 0.6152 0.5182 [4 per cell]
Se3 0.4294 0.5917 0.8684 [4 per cell]
O1 0.0431 0.6540 0.7175 [4 per cell]
O2 0.0566 0.0476 0.4334 [4 per cell]
O3 0.1568 0.0638 0.6835 [4 per cell]
O4 0.2096 0.6922 0.4103 [4 per cell]
O5 0.2872 0.6715 0.6081 [4 per cell]
O6 0.2984 0.0399 0.2946 [4 per cell]
O7 0.3148 0.2475 0.0109 [4 per cell]
O8 0.4140 0.5569 0.3419 [4 per cell]
O9 0.4893 0.0374 0.3003 [4 per cell]


[3]
Simulated PXRD pattern
Compound: HoMgSn
Radiation: Cu Ka
Structure: DFT lattice parameters and positions (GGA-PBE)
Peak positions follow from Bragg's law for the DFT cell and can differ from measured ones.

Main lines, low angle first (10 to 90 degrees two-theta):
2θ (°)	d (Å)	Rel. int.	h k l
11.14	7.943	34	0 0 2
22.39	3.971	39	0 0 4
28.77	3.103	100	1 1 0
30.94	2.890	39	1 1 2
33.86	2.648	28	0 0 6
34.86	2.573	35	1 0 5
36.76	2.445	77	1 1 4
41.14	2.194	56	2 0 0
45.01	2.014	32	1 1 6
54.30	1.689	29	2 0 6

Structure:
abc: 4.3879 4.3879 15.8855
angles: 90.00 90.00 90.00
Space group I4/mmm (No. 139)
Symmetry-distinct sites (fractional):
Ho1 0.0000 0.0000 0.1676 [4 per cell]
Mg1 0.0000 0.5000 0.0000 [4 per cell]
Sn1 0.0000 0.0000 0.3642 [4 per cell]


[4]
Simulated PXRD pattern
Compound: ZrC
Radiation: Cu Ka
Structure: DFT lattice parameters and positions (GGA-PBE)
Peak positions follow from Bragg's law for the DFT cell and can differ from measured ones.

Main lines, low angle first (10 to 90 degrees two-theta):
2θ (°)	d (Å)	Rel. int.	h k l
32.84	2.728	100	1 1 1
38.10	2.362	78	2 0 0
54.97	1.670	51	2 2 0
65.53	1.424	41	3 1 1
68.84	1.364	17	2 2 2
81.49	1.181	8	4 0 0

Structure:
abc: 4.7243 4.7243 4.7243
angles: 90.00 90.00 90.00
Space group Fm-3m (No. 225)
Symmetry-distinct sites (fractional):
Zr1 0.0000 0.0000 0.0000 [4 per cell]
C1 0.0000 0.0000 0.5000 [4 per cell]


[5]
Simulated PXRD pattern
Compound: LuTc2W
Radiation: Cu Ka
Structure: DFT lattice parameters and positions (GGA-PBE)
Peak positions follow from Bragg's law for the DFT cell and can differ from measured ones.

Main lines, low angle first (10 to 90 degrees two-theta):
2θ (°)	d (Å)	Rel. int.	h k l
27.68	3.223	9	2 0 0
39.55	2.279	100	2 2 0
48.96	1.861	3	2 2 2
57.17	1.611	17	4 0 0
64.68	1.441	4	4 2 0
71.74	1.316	34	4 2 2
85.16	1.139	11	4 4 0

Structure:
abc: 6.4454 6.4454 6.4454
angles: 90.00 90.00 90.00
Space group Fm-3m (No. 225)
Symmetry-distinct sites (fractional):
Lu1 0.0000 0.0000 0.0000 [4 per cell]
Tc1 0.2500 0.2500 0.2500 [8 per cell]
W1 0.0000 0.0000 0.5000 [4 per cell]


[6]
Simulated PXRD pattern
Compound: H
Radiation: Cu Ka
Structure: DFT lattice parameters and positions (GGA-PBE)
Peak positions follow from Bragg's law for the DFT cell and can differ from measured ones.

Main lines, low angle first (10 to 90 degrees two-theta):
2θ (°)	d (Å)	Rel. int.	h k l
11.91	7.432	100	0 0 1
24.18	3.680	14	0 2 1
25.07	3.552	29	1 0 -2
26.52	3.361	17	1 2 -1
26.77	3.330	17	2 0 0
27.18	3.281	29	2 0 -1
28.82	3.098	21	1 2 1
29.72	3.006	19	1 0 2
31.54	2.837	20	2 0 1
40.82	2.211	15	1 3 -2

Structure:
abc: 6.7898 8.4717 7.5769
angles: 90.00 101.21 90.00
Space group P2_1 (No. 4)
Symmetry-distinct sites (fractional):
H1 0.0069 0.0000 0.3296 [2 per cell]
H2 0.0197 0.4160 0.6547 [2 per cell]
H3 0.0320 0.2854 0.3588 [2 per cell]
H4 0.0526 0.7518 0.6027 [2 per cell]
H5 0.0980 0.0681 0.7010 [2 per cell]
H6 0.1360 0.7184 0.1148 [2 per cell]
H7 0.1597 0.0865 0.6317 [2 per cell]
H8 0.1635 0.7990 0.0857 [2 per cell]
H9 0.3037 0.5720 0.6441 [2 per cell]
H10 0.3194 0.3033 0.1116 [2 per cell]
H11 0.3483 0.2176 0.1119 [2 per cell]
H12 0.4128 0.5798 0.6855 [2 per cell]
H13 0.4448 0.2338 0.5969 [2 per cell]
H14 0.4585 0.9059 0.6210 [2 per cell]
H15 0.4736 0.9908 0.6473 [2 per cell]
H16 0.4901 0.7820 0.3316 [2 per cell]


[7]
Simulated PXRD pattern
Compound: CaH16O10
Radiation: Cu Ka
Structure: DFT lattice parameters and positions (GGA-PBE)
Peak positions follow from Bragg's law for the DFT cell and can differ from measured ones.

Main lines, low angle first (10 to 90 degrees two-theta):
2θ (°)	d (Å)	Rel. int.	h k l
14.34	6.177	48	0 1 0
15.64	5.668	100	0 0 2
20.33	4.368	73	1 -1 0
24.66	3.611	98	1 1 -2
26.80	3.326	81	1 1 2
31.57	2.834	66	0 0 4
32.49	2.756	91	1 2 -1
33.00	2.714	57	2 1 -1
33.09	2.707	67	2 0 2
41.34	2.184	53	2 -2 0

Structure:
abc: 6.1649 6.2338 11.4176
angles: 96.89 90.01 90.11
Space group P1 (No. 1)
Symmetry-distinct sites (fractional):
Ca1 0.0000 0.0000 0.0000 [1 per cell]
Ca2 0.0164 0.9946 0.5003 [1 per cell]
H1 0.0275 0.4685 0.1146 [1 per cell]
H2 0.0480 0.3351 0.8377 [1 per cell]
H3 0.1428 0.6829 0.2889 [1 per cell]
H4 0.1947 0.7607 0.7095 [1 per cell]
H5 0.2713 0.4054 0.0862 [1 per cell]
H6 0.2801 0.2009 0.7002 [1 per cell]
H7 0.2810 0.0966 0.2811 [1 per cell]
H8 0.2907 0.6372 0.5926 [1 per cell]
H9 0.2976 0.3636 0.8782 [1 per cell]
H10 0.2987 0.6153 0.3892 [1 per cell]
H11 0.3687 0.2827 0.3806 [1 per cell]
H12 0.3708 0.7060 0.8820 [1 per cell]
H13 0.3806 0.7618 0.0955 [1 per cell]
H14 0.3929 0.9473 0.8499 [1 per cell]
H15 0.3971 0.2985 0.5912 [1 per cell]
H16 0.4514 0.0065 0.1148 [1 per cell]
H17 0.5666 0.0012 0.6159 [1 per cell]
H18 0.6203 0.3034 0.0908 [1 per cell]
H19 0.6246 0.9477 0.3513 [1 per cell]
H20 0.6363 0.7567 0.5971 [1 per cell]
H21 0.6441 0.7058 0.3832 [1 per cell]
H22 0.6455 0.2857 0.8800 [1 per cell]
H23 0.7154 0.6195 0.8881 [1 per cell]
H24 0.7164 0.3630 0.3788 [1 per cell]
H25 0.7261 0.6421 0.0918 [1 per cell]
H26 0.7342 0.0995 0.7809 [1 per cell]
H27 0.7366 0.2059 0.2001 [1 per cell]
H28 0.7457 0.3992 0.5878 [1 per cell]
H29 0.8222 0.7633 0.2092 [1 per cell]
H30 0.8694 0.6951 0.7889 [1 per cell]
H31 0.9667 0.3359 0.3406 [1 per cell]
H32 0.9894 0.4633 0.6158 [1 per cell]
O1 0.1274 0.3429 0.1081 [1 per cell]
O2 0.1500 0.6789 0.3734 [1 per cell]
O3 0.1514 0.7100 0.6263 [1 per cell]
O4 0.1837 0.2554 0.8413 [1 per cell]
O5 0.2848 0.1420 0.3661 [1 per cell]
O6 0.2871 0.8314 0.8528 [1 per cell]
O7 0.3202 0.9123 0.1176 [1 per cell]
O8 0.3351 0.1612 0.6178 [1 per cell]
O9 0.4977 0.5053 0.9206 [1 per cell]
O10 0.5012 0.5231 0.0521 [1 per cell]
O11 0.5145 0.5194 0.5529 [1 per cell]
O12 0.5169 0.5040 0.4215 [1 per cell]
O13 0.6829 0.1665 0.1173 [1 per cell]
O14 0.6973 0.9072 0.6192 [1 per cell]
O15 0.7295 0.1452 0.8658 [1 per cell]
O16 0.7289 0.8309 0.3542 [1 per cell]
O17 0.8302 0.2560 0.3415 [1 per cell]
O18 0.8637 0.6848 0.8729 [1 per cell]
O19 0.8653 0.7147 0.1260 [1 per cell]
O20 0.8901 0.3367 0.6081 [1 per cell]